No. 1
Structure and computed powder X-ray diffraction pattern of Si3NiIr3 (a structure optimized by DFT (GGA-PBE); copper Kα).
Peak positions follow from Bragg's law for the DFT cell and can differ from measured ones.

Peak list (12 most intense, 2θ from 10° to 90°, low angle first)
Position (°2θ), I (rel.), hkl
21.6, 55, 2 0 2
26.6, 100, 1 0 4
29.3, 32, 3 0 2
32.4, 27, 0 1 1
37.1, 43, 0 1 3
37.7, 78, 4 0 2
38.2, 53, 1 1 3
41.3, 41, 2 1 3
42.2, 81, 3 1 1
45.3, 50, 0 1 5
46.9, 54, 3 0 6
52.3, 37, 4 1 3

Structure:
a b c (Å): 10.134 2.821 14.177
angles (deg): 90.00 90.00 90.00
Space group Pnma (No. 62)
Asymmetric unit:
Si (0.089, 0.250, 0.109) (multiplicity 4)
Si (0.117, 0.250, 0.598) (multiplicity 4)
Si (0.245, 0.250, 0.354) (multiplicity 4)
Ni (0.007, 0.250, 0.296) (multiplicity 4)
Ir (0.098, 0.250, 0.938) (multiplicity 4)
Ir (0.111, 0.750, 0.457) (multiplicity 4)
Ir (0.220, 0.750, 0.213) (multiplicity 4)


No. 2
Structure and computed powder X-ray diffraction pattern of La7Y3 (a structure optimized by DFT (GGA-PBE); copper Kα).
Peak positions follow from Bragg's law for the DFT cell and can differ from measured ones.

Peak list (12 most intense, 2θ from 10° to 90°, low angle first)
Position (°2θ), I (rel.), hkl
29.1, 45, 2 0 2
30.0, 58, 0 2 0
30.6, 18, 1 1 2
30.8, 100, 5 1 0
31.0, 94, 3 1 -2
42.3, 32, 2 2 2
46.1, 16, 8 0 -2
52.5, 12, 7 1 2
53.8, 23, 5 3 0
53.9, 19, 3 3 -2
56.0, 18, 8 2 -2
64.2, 12, 10 2 0

Structure:
a b c (Å): 16.938 5.958 7.269
angles (deg): 90.00 101.07 90.00
Space group C2/m (No. 12)
Asymmetric unit:
La (0.000, 0.000, 0.000) (multiplicity 2)
La (0.104, 0.500, 0.410) (multiplicity 4)
La (0.116, 0.500, 0.925) (multiplicity 4)
La (0.190, 0.000, 0.734) (multiplicity 4)
Y (0.000, 0.000, 0.500) (multiplicity 2)
Y (0.197, 0.000, 0.250) (multiplicity 4)